Sr2VP2O9: simulated X-ray powder pattern (Cu Kα X-rays), based on the PBE+U geometry in Alexandria.
Peak positions follow from Bragg's law for the DFT cell and can differ from measured ones.

Principal peaks in the range 2θ from 10° to 80°, low angle first:
2θ/deg, intensity
25.95, 37
27.94, 44
28.87, 96
30.45, 66
31.25, 29
31.47, 100
38.02, 29
63.42, 31

Cell and atoms:
```
28
Lattice="3.7219 -8.0035 0.0000 3.7219 8.0035 0.0000 -3.5142 0.0000 5.8703" Properties=species:S:1:pos:R:3 pbc="T T T"
Sr 1.9648 7.3259 2.9351
Sr 0.1956 1.9973 5.8671
Sr 1.9527 -1.9973 2.9320
Sr 3.7219 -7.3259 0.0000
V 1.0445 4.0536 1.5491
V -0.7126 -4.0536 4.4843
P 0.2064 5.3852 5.8521
P 1.9571 1.2377 2.9240
P 0.2000 -1.2377 5.8592
P 1.9635 -5.3852 2.9170
O -1.6763 1.7165 4.1680
O 2.4753 4.4321 0.1242
O 1.9755 4.6396 2.8987
O 0.0809 -1.7165 1.2329
O 1.8102 2.1829 1.6599
O 0.6978 0.3737 2.9898
O 2.4549 -0.3737 0.0546
O 1.4288 4.4068 5.7115
O 2.0846 2.1759 4.1928
O 0.0530 -2.1829 4.5950
O 0.7182 -4.4321 3.0593
O 3.2256 0.3886 2.8501
O 1.4684 -0.3886 5.7852
O 3.8417 -2.1759 1.2576
O 5.6157 1.7168 1.6650
O 0.2184 -4.6396 5.8338
O 3.1859 -4.4068 2.7764
O 3.8586 -1.7168 4.6001
```